# Co4PbO8
Theoretical powder XRD pattern, Cu Ka. Input: the PBE+U geometry in Alexandria.

Structural model:
a b c (Å): 5.905 5.905 5.905
angles (deg): 60.00 60.00 60.00
Atoms (fractional coordinates):
Co: 0.380 0.380 0.380
Co: 0.380 0.380 0.859
Co: 0.380 0.859 0.380
Co: 0.859 0.380 0.380
Pb: 0.000 0.000 0.000
O: 0.145 0.145 0.145
O: 0.145 0.145 0.564
O: 0.145 0.564 0.145
O: 0.182 0.606 0.606
O: 0.564 0.145 0.145
O: 0.606 0.182 0.606
O: 0.606 0.606 0.182
O: 0.606 0.606 0.606

Most intense lines, 10° ≤ 2θ ≤ 90°, in order of falling intensity:
2θ = 35.7°, rel. 100
2θ = 21.3°, rel. 50
2θ = 57.3°, rel. 42
2θ = 30.3°, rel. 40
2θ = 18.4°, rel. 34
2θ = 63.0°, rel. 30
2θ = 37.3°, rel. 20
2θ = 48.8°, rel. 17
2θ = 47.5°, rel. 16
2θ = 53.8°, rel. 15